Tb7Nd12Sm2: computed XRD peak list (copper Kα), based on a DFT-relaxed cell (GGA-PBE, Alexandria).

Largest 12 diffraction maxima, low angle first, 15 to 90 degrees two-theta:
| d_spacing | 2theta | I_rel | hkl |
| --- | --- | --- | --- |
| 2.913 | 30.69 | 78 | 2 1 1 |
| 2.866 | 31.21 | 100 | 1 4 0 |
| 2.780 | 32.20 | 8 | 3 0 1 |
| 2.560 | 35.05 | 12 | 1 3 1 |
| 2.043 | 44.34 | 22 | 4 2 1 |
| 1.799 | 50.74 | 9 | 0 0 2 |
| 1.664 | 55.21 | 23 | 7 0 1 |
| 1.655 | 55.54 | 17 | 6 3 0 |
| 1.524 | 60.79 | 32 | 1 4 2 |
| 1.433 | 65.10 | 9 | 2 8 0 |
| 1.218 | 78.54 | 13 | 6 3 2 |
| 1.121 | 86.91 | 10 | 2 8 2 |

Cell and atoms:
```
data_Tb7Nd12Sm2
_chemical_formula_sum 'Tb7 Nd12 Sm2'
_cell_length_a 15.1647
_cell_length_b 15.1647
_cell_length_c 3.5984
_cell_angle_alpha 90.00
_cell_angle_beta 90.00
_cell_angle_gamma 120.00
_symmetry_space_group_name_H-M 'P -6'
_symmetry_Int_Tables_number 174
loop_
_symmetry_equiv_pos_as_xyz
'x,y,z'
'-x+y,-x,-z'
'-y,x-y,z'
'x,y,-z'
'-x+y,-x,z'
'-y,x-y,-z'
loop_
_atom_site_label
_atom_site_fract_x
_atom_site_fract_y
_atom_site_fract_z
Tb1 0.0000 0.0000 0.0000
Tb2 0.1469 0.7119 0.5000
Tb3 0.4325 0.1455 0.0000
Nd1 0.0702 0.2524 0.0000
Nd2 0.0792 0.4640 0.5000
Nd3 0.2359 0.1717 0.5000
Nd4 0.4605 0.3787 0.0000
Sm1 0.3333 0.6667 0.0000
Sm2 0.6667 0.3333 0.5000
```



Cr2Co5: computed XRD peak list (copper Kα), based on a DFT-relaxed cell (GGA-PBE, Alexandria).

Largest 12 diffraction maxima, low angle first, 15 to 90 degrees two-theta:
| d_spacing | 2theta | I_rel | hkl |
| --- | --- | --- | --- |
| 3.477 | 25.62 | 10 | 1 0 1 |
| 3.144 | 28.39 | 3 | 0 0 4 |
| 2.739 | 32.69 | 10 | 1 0 3 |
| 2.558 | 35.07 | 4 | 1 1 0 |
| 2.370 | 37.97 | 6 | 1 1 2 |
| 2.096 | 43.16 | 3 | 0 0 6 |
| 1.984 | 45.72 | 100 | 1 1 4 |
| 1.809 | 50.45 | 38 | 2 0 0 |
| 1.572 | 58.74 | 10 | 0 0 8 |
| 1.510 | 61.42 | 3 | 2 1 3 |
| 1.279 | 74.12 | 11 | 2 2 0 |
| 1.187 | 81.04 | 14 | 2 0 8 |

Cell and atoms:
```
data_Cr2Co5
_chemical_formula_sum 'Cr4 Co10'
_cell_length_a 3.6182
_cell_length_b 3.6182
_cell_length_c 12.5756
_cell_angle_alpha 90.00
_cell_angle_beta 90.00
_cell_angle_gamma 90.00
_symmetry_space_group_name_H-M 'I 4/m m m'
_symmetry_Int_Tables_number 139
_symmetry_space_group_name_Hall '-I 4 2'
loop_
_atom_site_label
_atom_site_fract_x
_atom_site_fract_y
_atom_site_fract_z
Cr1 0.0000 0.0000 0.2424
Co1 0.0000 0.0000 0.5000
Co2 0.0000 0.5000 0.1154
```



Zr4OsRh3: computed XRD peak list (copper Kα), based on a DFT-relaxed cell (GGA-PBE, Alexandria).

Largest 12 diffraction maxima, low angle first, 15 to 90 degrees two-theta:
| d_spacing | 2theta | I_rel | hkl |
| --- | --- | --- | --- |
| 4.670 | 19.00 | 2 | 0 0 2 |
| 4.180 | 21.26 | 2 | 0 1 1 |
| 3.303 | 27.00 | 3 | 0 1 2 |
| 2.335 | 38.55 | 50 | 0 2 0 |
| 2.330 | 38.64 | 100 | 1 1 2 |
| 1.651 | 55.66 | 17 | 0 2 4 |
| 1.644 | 55.94 | 8 | 2 0 0 |
| 1.347 | 69.81 | 34 | 1 3 2 |
| 1.344 | 70.00 | 17 | 2 2 0 |
| 1.169 | 82.55 | 3 | 0 4 0 |
| 1.167 | 82.72 | 3 | 0 0 8 |
| 1.165 | 82.87 | 11 | 2 2 4 |

Cell and atoms:
```
data_Zr4OsRh3
_chemical_formula_sum 'Zr4 Os1 Rh3'
_cell_length_a 3.2875
_cell_length_b 4.6744
_cell_length_c 9.3331
_cell_angle_alpha 90.00
_cell_angle_beta 90.00
_cell_angle_gamma 90.00
_symmetry_space_group_name_H-M 'P m m m'
_symmetry_Int_Tables_number 47
loop_
_symmetry_equiv_pos_as_xyz
'x,y,z'
'-x,-y,-z'
'-x,-y,z'
'x,y,-z'
'x,-y,-z'
'-x,y,z'
'-x,y,-z'
'x,-y,z'
loop_
_atom_site_label
_atom_site_fract_x
_atom_site_fract_y
_atom_site_fract_z
Zr1 0.0000 0.0000 0.0000
Zr2 0.0000 0.0000 0.5000
Zr3 0.0000 0.5000 0.2472
Os1 0.5000 0.5000 0.0000
Rh1 0.5000 0.0000 0.2513
Rh2 0.5000 0.5000 0.5000
```



Q: Number 2 is which compound?
A: Cr2Co5



Q: Number 2 is which compound?
A: Cr2Co5